Ho4CoOs: simulated XRD peak list (λ = 1.5418 Å (Cu Kα)), based on the GGA-PBE geometry in Alexandria.
Intensities are scaled so that the largest is 1000.

Cell and atoms:
```
data_Ho4CoOs
_space_group_name_H-M_alt 'C 1 2/c 1'
_space_group_IT_number 15
_space_group_name_Hall '-C 2yc'
_cell_length_a 8.7993
_cell_length_b 12.8371
_cell_length_c 6.0980
_cell_angle_alpha 90.00
_cell_angle_beta 123.98
_cell_angle_gamma 90.00
loop_
_atom_site_label
_atom_site_type_symbol
_atom_site_fract_x
_atom_site_fract_y
_atom_site_fract_z
Ho1 Ho 0.1298 0.1791 0.0967
Ho2 Ho 0.1974 0.4392 0.2735
Co1 Co 0.0000 0.0004 0.2500
Os1 Os 0.0000 0.3655 0.7500
```

Top 10 peaks for 15° ≤ 2θ ≤ 90°, most intense first:
| Position (°2θ) | intensity | h k l |
| --- | --- | --- |
| 31.42 | 1000 | 3 1 -1 |
| 40.21 | 976 | 2 2 1 |
| 33.06 | 921 | 0 4 1 |
| 34.83 | 551 | 2 4 -1 |
| 42.76 | 496 | 3 3 0 |
| 31.07 | 489 | 1 1 -2 |
| 36.98 | 419 | 1 3 -2 |
| 16.26 | 355 | 1 1 -1 |
| 37.12 | 295 | 1 5 0 |
| 38.11 | 254 | 1 5 -1 |